Simulated X-ray diffraction stick pattern
Compound: BaYMnCoO5
Radiation: λ = 1.5418 Å (Cu Kα)
Structure: a structure optimized by DFT (GGA+U)
Lines closer than 0.1° are merged.

Largest 10 diffraction maxima, sorted by position, 2θ from 5° to 70°:
2theta, I (rel.), (hkl)
31.91, 42, 0 2 -1
32.07, 92, -1 1 2
32.14, 50, 1 -1 2
32.45, 100, 1 1 1
45.36, 32, 2 -2 0
46.31, 30, 2 2 -2
46.78, 19, 0 0 4
56.80, 19, -1 3 1
56.94, 19, 3 -1 1
57.80, 32, 2 0 3

Cell and atoms:
```
BaYMnCoO5
1.0
5.591 0.000 0.000
-0.110 5.609 0.000
-2.737 -2.793 7.768
Ba Y Mn Co O
2 2 2 2 10
direct
0.000 0.000 0.000
0.499 0.504 0.001
0.246 0.250 0.490
0.744 0.749 0.489
0.365 0.870 0.731
0.861 0.365 0.723
0.122 0.626 0.248
0.628 0.131 0.254
0.072 0.592 0.664
0.097 0.110 0.686
0.408 0.932 0.302
0.409 0.428 0.316
0.502 0.006 0.002
0.589 0.584 0.686
0.590 0.080 0.662
0.895 0.383 0.305
0.906 0.899 0.315
0.995 0.499 0.992
```